No. 1
Structure and computed powder diffraction line list of PmSmO2 (a crystal structure in Alexandria, relaxed with PBE; CuKα).
Lines closer than 0.1° are merged.

Atomic structure:
```
data_PmSmO2
_cell_length_a 3.7214
_cell_length_b 3.7214
_cell_length_c 20.1162
_cell_angle_alpha 90.00
_cell_angle_beta 90.00
_cell_angle_gamma 120.00
_space_group_name_H-M_alt 'R -3 m'
_space_group_IT_number 166
_space_group_name_Hall '-R 3 2"'
loop_
_atom_site_label
_atom_site_type_symbol
_atom_site_fract_x
_atom_site_fract_y
_atom_site_fract_z
Pm1 Pm 0.0000 0.0000 0.0000
Sm1 Sm 0.0000 0.0000 0.5000
O1 O 0.0000 0.0000 0.1135
```

Main lines, low angle first (5 to 70 degrees two-theta):
2θ = 26.59°, I 37, hkl 0 0 6; 2θ = 29.10°, I 100, hkl 0 1 2; 2θ = 33.01°, I 55, hkl 1 0 4; 2θ = 45.77°, I 33, hkl 0 1 8; 2θ = 48.95°, I 28, hkl 1 1 0; 2θ = 53.71°, I 20, hkl 1 0 10; 2θ = 56.57°, I 28, hkl 1 1 6; 2θ = 57.96°, I 14, hkl 2 0 2

No. 2
Structure and computed powder diffraction line list of La6RuCl8 (a crystal structure in Alexandria, relaxed with PBE; CuKα).
Lines closer than 0.1° are merged.

Atomic structure:
```
data_La6RuCl8
_cell_length_a 7.3900
_cell_length_b 7.3900
_cell_length_c 29.7531
_cell_angle_alpha 90.00
_cell_angle_beta 90.00
_cell_angle_gamma 120.00
_space_group_name_H-M_alt 'R -3'
_space_group_IT_number 148
_space_group_name_Hall '-R 3'
loop_
_atom_site_label
_atom_site_type_symbol
_atom_site_fract_x
_atom_site_fract_y
_atom_site_fract_z
La1 La 0.0005 0.6902 0.0559
Ru1 Ru 0.0000 0.0000 0.0000
Cl1 Cl 0.0000 0.0000 0.3332
Cl2 Cl 0.0007 0.6573 0.8900
```

Main lines, low angle first (5 to 70 degrees two-theta):
2θ = 8.92°, I 80, hkl 0 0 3; 2θ = 25.73°, I 37, hkl 1 1 3; 2θ = 30.16°, I 100, hkl 1 1 6; 2θ = 36.47°, I 17, hkl 2 -1 9; 2θ = 42.37°, I 33, hkl 3 0 0; 2θ = 43.98°, I 35, hkl 2 -1 12; 2θ = 52.88°, I 18, hkl 4 -2 6; 2θ = 69.99°, I 14, hkl 4 1 6

No. 3
Structure and computed powder diffraction line list of Rb5C7 (a crystal structure in Alexandria, relaxed with PBE; CuKα).
Lines closer than 0.1° are merged.

Atomic structure:
```
data_Rb5C7
_cell_length_a 8.8125
_cell_length_b 8.8125
_cell_length_c 8.1844
_cell_angle_alpha 90.00
_cell_angle_beta 90.00
_cell_angle_gamma 90.00
_space_group_name_H-M_alt 'I 4 m m'
_space_group_IT_number 107
_space_group_name_Hall 'I 4 -2'
loop_
_atom_site_label
_atom_site_type_symbol
_atom_site_fract_x
_atom_site_fract_y
_atom_site_fract_z
Rb1 Rb 0.0000 0.0000 0.0000
Rb2 Rb 0.2237 0.2237 0.6402
C1 C 0.0000 0.0000 0.4263
C2 C 0.0000 0.3499 0.9111
C3 C 0.0000 0.5000 0.4106
```

Main lines, low angle first (5 to 70 degrees two-theta):
2θ = 20.15°, I 28, hkl 2 0 0; 2θ = 21.72°, I 25, hkl 0 0 2; 2θ = 25.08°, I 23, hkl 2 1 1; 2θ = 28.65°, I 59, hkl 2 2 0; 2θ = 29.80°, I 100, hkl 2 0 2; 2θ = 32.38°, I 29, hkl 3 0 1; 2θ = 36.24°, I 30, hkl 2 2 2; 2θ = 51.47°, I 22, hkl 4 2 2

No. 4
Structure and computed powder diffraction line list of Li2Pr3Mg3 (a crystal structure in Alexandria, relaxed with PBE; CuKα).
Lines closer than 0.1° are merged.

Atomic structure:
```
data_Li2Pr3Mg3
_cell_length_a 5.3840
_cell_length_b 5.3840
_cell_length_c 26.3549
_cell_angle_alpha 90.00
_cell_angle_beta 90.00
_cell_angle_gamma 120.00
_space_group_name_H-M_alt 'R 3 m'
_space_group_IT_number 160
_space_group_name_Hall 'R 3 -2"'
loop_
_atom_site_label
_atom_site_type_symbol
_atom_site_fract_x
_atom_site_fract_y
_atom_site_fract_z
Li1 Li 0.0000 0.0000 0.0000
Li2 Li 0.0000 0.0000 0.4918
Pr1 Pr 0.0000 0.0000 0.3692
Pr2 Pr 0.0000 0.0000 0.6190
Pr3 Pr 0.0000 0.0000 0.8694
Mg1 Mg 0.0000 0.0000 0.1193
Mg2 Mg 0.0000 0.0000 0.2391
Mg3 Mg 0.0000 0.0000 0.7466
```

Main lines, low angle first (5 to 70 degrees two-theta):
2θ = 10.07°, I 13, hkl 0 0 3; 2θ = 20.21°, I 13, hkl 0 0 6; 2θ = 23.37°, I 71, hkl 1 0 4; 2θ = 33.29°, I 100, hkl 1 1 0; 2θ = 41.08°, I 22, hkl 0 0 12; 2θ = 47.80°, I 18, hkl 2 0 8; 2θ = 53.86°, I 30, hkl 1 1 12; 2θ = 59.49°, I 37, hkl 3 0 0

No. 5
Structure and computed powder diffraction line list of KTl12In6 (a crystal structure in Alexandria, relaxed with PBE; CuKα).
Lines closer than 0.1° are merged.

Atomic structure:
```
data_KTl12In6
_cell_length_a 14.3529
_cell_length_b 14.3529
_cell_length_c 10.4807
_cell_angle_alpha 90.00
_cell_angle_beta 90.00
_cell_angle_gamma 120.00
_space_group_name_H-M_alt 'R -3 m'
_space_group_IT_number 166
_space_group_name_Hall '-R 3 2"'
loop_
_atom_site_label
_atom_site_type_symbol
_atom_site_fract_x
_atom_site_fract_y
_atom_site_fract_z
K1 K 0.0000 0.0000 0.0000
Tl1 Tl 0.0000 0.3862 0.5000
Tl2 Tl 0.0826 0.1652 0.2951
In1 In 0.0580 0.5290 0.2332
```

Main lines, low angle first (5 to 70 degrees two-theta):
2θ = 18.37°, I 37, hkl 0 1 2; 2θ = 27.23°, I 100, hkl 1 3 1; 2θ = 28.41°, I 53, hkl 1 1 3; 2θ = 32.54°, I 81, hkl 3 2 1; 2θ = 33.55°, I 84, hkl 0 3 3; 2θ = 35.85°, I 36, hkl 2 3 2; 2θ = 37.24°, I 35, hkl 0 2 4; 2θ = 40.15°, I 58, hkl 5 0 2

No. 6
Structure and computed powder diffraction line list of K3Rb3Na4 (a crystal structure in Alexandria, relaxed with PBE; CuKα).
Lines closer than 0.1° are merged.

Atomic structure:
```
data_K3Rb3Na4
_cell_length_a 5.5524
_cell_length_b 15.2431
_cell_length_c 15.0686
_cell_angle_alpha 90.00
_cell_angle_beta 90.00
_cell_angle_gamma 90.00
_space_group_name_H-M_alt 'A m m 2'
_space_group_IT_number 38
loop_
_space_group_symop_operation_xyz
'x,y,z'
'-x,-y,z'
'-x,y,z'
'x,-y,z'
'x,y+1/2,z+1/2'
'-x,-y+1/2,z+1/2'
'-x,y+1/2,z+1/2'
'x,-y+1/2,z+1/2'
loop_
_atom_site_label
_atom_site_type_symbol
_atom_site_fract_x
_atom_site_fract_y
_atom_site_fract_z
K1 K 0.0000 0.0000 0.0000
K2 K 0.5000 0.2490 0.9217
Rb1 Rb 0.0000 0.0000 0.3418
Rb2 Rb 0.0000 0.1721 0.6732
Na1 Na 0.5000 0.0000 0.5512
Na2 Na 0.5000 0.0000 0.7999
Na3 Na 0.5000 0.1195 0.1659
```

Main lines, low angle first (5 to 70 degrees two-theta):
2θ = 18.43°, I 32, hkl 0 3 1; 2θ = 19.85°, I 23, hkl 1 0 2; 2θ = 23.07°, I 84, hkl 1 2 2; 2θ = 24.47°, I 100, hkl 1 3 1; 2θ = 24.60°, I 84, hkl 1 1 3; 2θ = 26.21°, I 34, hkl 0 4 2; 2θ = 26.39°, I 36, hkl 0 2 4; 2θ = 32.24°, I 31, hkl 2 0 0

No. 7
Structure and computed powder diffraction line list of NdSc5Sb6 (a crystal structure in Alexandria, relaxed with PBE; CuKα).
Lines closer than 0.1° are merged.

Atomic structure:
```
data_NdSc5Sb6
_cell_length_a 7.3169
_cell_length_b 12.6985
_cell_length_c 7.3324
_cell_angle_alpha 90.00
_cell_angle_beta 109.63
_cell_angle_gamma 90.00
_space_group_name_H-M_alt 'C 1 2/m 1'
_space_group_IT_number 12
loop_
_space_group_symop_operation_xyz
'x,y,z'
'-x,-y,-z'
'-x,y,-z'
'x,-y,z'
'x+1/2,y+1/2,z'
'-x+1/2,-y+1/2,-z'
'-x+1/2,y+1/2,-z'
'x+1/2,-y+1/2,z'
loop_
_atom_site_label
_atom_site_type_symbol
_atom_site_fract_x
_atom_site_fract_y
_atom_site_fract_z
Nd1 Nd 0.0000 0.0000 0.0000
Sc1 Sc 0.0000 0.1598 0.5000
Sc2 Sc 0.0000 0.3312 0.0000
Sc3 Sc 0.0000 0.5000 0.5000
Sb1 Sb 0.2363 0.5000 0.2538
Sb2 Sb 0.2391 0.3264 0.7394
```

Main lines, low angle first (5 to 70 degrees two-theta):
2θ = 25.80°, I 20, hkl 0 0 2; 2θ = 29.88°, I 100, hkl 2 0 -2; 2θ = 42.75°, I 60, hkl 1 3 -3; 2θ = 42.86°, I 12, hkl 2 0 2; 2θ = 50.57°, I 4, hkl 2 0 -4; 2θ = 53.01°, I 19, hkl 0 0 4; 2θ = 53.16°, I 6, hkl 4 0 0; 2θ = 62.11°, I 7, hkl 2 6 2

No. 8
Structure and computed powder diffraction line list of NdAl2TcO8 (a crystal structure in Alexandria, relaxed with PBE; CuKα).
Lines closer than 0.1° are merged.

Atomic structure:
```
data_NdAl2TcO8
_cell_length_a 6.4576
_cell_length_b 6.6876
_cell_length_c 6.3793
_cell_angle_alpha 90.00
_cell_angle_beta 90.00
_cell_angle_gamma 90.00
_space_group_name_H-M_alt 'C m m m'
_space_group_IT_number 65
_space_group_name_Hall '-C 2 2'
loop_
_atom_site_label
_atom_site_type_symbol
_atom_site_fract_x
_atom_site_fract_y
_atom_site_fract_z
Nd1 Nd 0.0000 0.0000 0.0000
Al1 Al 0.0000 0.5000 0.2499
Tc1 Tc 0.0000 0.0000 0.5000
O1 O 0.0000 0.2955 0.5000
O2 O 0.0000 0.3340 0.0000
O3 O 0.2119 0.0000 0.2947
```

Main lines, low angle first (5 to 70 degrees two-theta):
2θ = 19.11°, I 100, hkl 1 1 0; 2θ = 26.66°, I 75, hkl 0 2 0; 2θ = 27.63°, I 62, hkl 2 0 0; 2θ = 34.10°, I 100, hkl 1 1 2; 2θ = 39.72°, I 45, hkl 2 0 2; 2θ = 52.01°, I 50, hkl 1 3 2; 2θ = 53.13°, I 39, hkl 3 1 2; 2θ = 67.20°, I 28, hkl 3 3 2

No. 9
Structure and computed powder diffraction line list of UZnCd2O6 (a crystal structure in Alexandria, relaxed with PBE; CuKα).
Lines closer than 0.1° are merged.

Atomic structure:
```
data_UZnCd2O6
_cell_length_a 5.6427
_cell_length_b 5.6427
_cell_length_c 4.5433
_cell_angle_alpha 90.00
_cell_angle_beta 90.00
_cell_angle_gamma 90.00
_space_group_name_H-M_alt 'P 4 m m'
_space_group_IT_number 99
loop_
_space_group_symop_operation_xyz
'x,y,z'
'-y,x,z'
'-x,-y,z'
'y,-x,z'
'-x,y,z'
'y,x,z'
'x,-y,z'
'-y,-x,z'
loop_
_atom_site_label
_atom_site_type_symbol
_atom_site_fract_x
_atom_site_fract_y
_atom_site_fract_z
U1 U 0.0000 0.0000 0.0000
Zn1 Zn 0.5000 0.5000 0.9304
Cd1 Cd 0.0000 0.5000 0.3691
O1 O 0.0000 0.0000 0.5119
O2 O 0.2508 0.2508 0.0481
O3 O 0.5000 0.5000 0.5043
```

Main lines, low angle first (5 to 70 degrees two-theta):
2θ = 15.71°, I 25, hkl 1 0 0; 2θ = 19.54°, I 17, hkl 0 0 1; 2θ = 25.17°, I 19, hkl 1 0 1; 2θ = 29.80°, I 100, hkl 1 1 1; 2θ = 31.72°, I 49, hkl 2 0 0; 2θ = 45.47°, I 28, hkl 2 2 0; 2θ = 45.97°, I 19, hkl 1 1 2; 2θ = 55.31°, I 36, hkl 3 1 1

No. 10
Structure and computed powder diffraction line list of Tb2SmNi2Ge2 (a crystal structure in Alexandria, relaxed with PBE; CuKα).
Lines closer than 0.1° are merged.

Atomic structure:
```
data_Tb2SmNi2Ge2
_cell_length_a 4.2603
_cell_length_b 4.2603
_cell_length_c 28.3910
_cell_angle_alpha 90.00
_cell_angle_beta 90.00
_cell_angle_gamma 120.00
_space_group_name_H-M_alt 'R -3 m'
_space_group_IT_number 166
_space_group_name_Hall '-R 3 2"'
loop_
_atom_site_label
_atom_site_type_symbol
_atom_site_fract_x
_atom_site_fract_y
_atom_site_fract_z
Tb1 Tb 0.0000 0.0000 0.1233
Sm1 Sm 0.0000 0.0000 0.0000
Ni1 Ni 0.0000 0.0000 0.4010
Ge1 Ge 0.0000 0.0000 0.2633
```

Main lines, low angle first (5 to 70 degrees two-theta):
2θ = 24.33°, I 44, hkl 1 0 1; 2θ = 32.81°, I 74, hkl 1 0 7; 2θ = 35.08°, I 100, hkl 0 1 8; 2θ = 42.43°, I 86, hkl 1 1 0; 2θ = 48.07°, I 13, hkl 0 0 15; 2θ = 54.66°, I 17, hkl 0 2 7; 2θ = 56.20°, I 26, hkl 2 0 8; 2θ = 66.03°, I 30, hkl 1 1 15

No. 11
Structure and computed powder diffraction line list of RbWAu (a crystal structure in Alexandria, relaxed with PBE; CuKα).
Lines closer than 0.1° are merged.

Atomic structure:
```
data_RbWAu
_cell_length_a 10.7497
_cell_length_b 3.1720
_cell_length_c 10.3041
_cell_angle_alpha 90.00
_cell_angle_beta 90.00
_cell_angle_gamma 90.00
_space_group_name_H-M_alt 'P n m a'
_space_group_IT_number 62
loop_
_space_group_symop_operation_xyz
'x,y,z'
'-x,-y,-z'
'-x+1/2,-y,z+1/2'
'x+1/2,y,-z+1/2'
'x+1/2,-y+1/2,-z+1/2'
'-x+1/2,y+1/2,z+1/2'
'-x,y+1/2,-z'
'x,-y+1/2,z'
loop_
_atom_site_label
_atom_site_type_symbol
_atom_site_fract_x
_atom_site_fract_y
_atom_site_fract_z
Rb1 Rb 0.1734 0.2500 0.0844
W1 W 0.0346 0.2500 0.4200
Au1 Au 0.0902 0.2500 0.7578
```

Main lines, low angle first (5 to 70 degrees two-theta):
2θ = 11.90°, I 97, hkl 1 0 1; 2θ = 16.49°, I 73, hkl 2 0 0; 2θ = 18.62°, I 31, hkl 2 0 1; 2θ = 26.33°, I 52, hkl 3 0 1; 2θ = 30.90°, I 89, hkl 2 0 3; 2θ = 32.78°, I 78, hkl 2 1 0; 2θ = 38.64°, I 100, hkl 0 1 3; 2θ = 64.05°, I 29, hkl 2 1 6

No. 12
Structure and computed powder diffraction line list of Pr8Ho5Er (a crystal structure in Alexandria, relaxed with PBE; CuKα).
Lines closer than 0.1° are merged.

Atomic structure:
```
data_Pr8Ho5Er
_cell_length_a 13.0629
_cell_length_b 11.2749
_cell_length_c 9.1865
_cell_angle_alpha 90.00
_cell_angle_beta 134.04
_cell_angle_gamma 90.00
_space_group_name_H-M_alt 'C 1 2 1'
_space_group_IT_number 5
loop_
_space_group_symop_operation_xyz
'x,y,z'
'-x,y,-z'
'x+1/2,y+1/2,z'
'-x+1/2,y+1/2,-z'
loop_
_atom_site_label
_atom_site_type_symbol
_atom_site_fract_x
_atom_site_fract_y
_atom_site_fract_z
Pr1 Pr 0.0608 0.0000 0.2785
Pr2 Pr 0.0645 0.5578 0.2900
Pr3 Pr 0.1550 0.2777 0.0464
Pr4 Pr 0.1996 0.0860 0.7686
Ho1 Ho 0.0000 0.7751 0.5000
Ho2 Ho 0.1830 0.2797 0.4620
Ho3 Ho 0.1953 0.4724 0.7606
Er1 Er 0.0000 0.7784 0.0000
```

Main lines, low angle first (5 to 70 degrees two-theta):
2θ = 25.61°, I 26, hkl 1 3 -1; 2θ = 29.62°, I 47, hkl 3 1 0; 2θ = 30.82°, I 38, hkl 4 0 -3; 2θ = 31.40°, I 100, hkl 0 2 2; 2θ = 31.73°, I 37, hkl 0 4 0; 2θ = 32.28°, I 62, hkl 3 3 -2; 2θ = 34.28°, I 40, hkl 4 2 -1; 2θ = 49.85°, I 27, hkl 3 5 0

No. 13
Structure and computed powder diffraction line list of AlHO (a crystal structure in Alexandria, relaxed with PBE; CuKα).
Lines closer than 0.1° are merged.

Atomic structure:
```
data_AlHO
_cell_length_a 3.0116
_cell_length_b 4.8285
_cell_length_c 5.0427
_cell_angle_alpha 90.00
_cell_angle_beta 90.39
_cell_angle_gamma 90.00
_space_group_name_H-M_alt 'P 1 21 1'
_space_group_IT_number 4
loop_
_space_group_symop_operation_xyz
'x,y,z'
'-x,y+1/2,-z'
loop_
_atom_site_label
_atom_site_type_symbol
_atom_site_fract_x
_atom_site_fract_y
_atom_site_fract_z
Al1 Al 0.2484 0.0000 0.3533
H1 H 0.2460 0.9610 0.0433
O1 O 0.2503 0.6679 0.5258
```

Main lines, low angle first (5 to 70 degrees two-theta):
2θ = 17.59°, I 100, hkl 0 0 1; 2θ = 25.54°, I 42, hkl 0 1 1; 2θ = 35.12°, I 20, hkl 1 1 0; 2θ = 37.24°, I 8, hkl 0 2 0; 2θ = 40.36°, I 17, hkl 0 1 2; 2θ = 61.59°, I 10, hkl 2 0 0; 2θ = 65.79°, I 8, hkl 1 3 0; 2θ = 67.94°, I 7, hkl 0 2 3